# H8PtN2Cl6
Calculated powder diffractogram, Cu Kα (weighted mean of Kα1 and Kα2). Input: the PBE geometry in the Materials Project.
Neutral-atom scattering factors, no anomalous dispersion.

The 6 most intense peaks (2θ = 10–90°), low angle first:
- (1 1 1), 2θ = 15.33°, I = 100
- (2 0 0), 2θ = 17.72°, I = 62
- (2 2 0), 2θ = 25.16°, I = 25
- (3 1 1), 2θ = 29.59°, I = 48
- (4 0 0), 2θ = 35.88°, I = 38
- (4 2 0), 2θ = 40.28°, I = 33

Atomic structure:
a = 10.0121 Å, b = 10.0121 Å, c = 10.0121 Å
α = 90.00°, β = 90.00°, γ = 90.00°
Space group Fm-3m (No. 225)
Unique sites:
1 H 0.1904 0.1904 0.1904 x32
2 Pt 0.0000 0.0000 0.5000 x4
3 N 0.2500 0.2500 0.2500 x8
4 Cl 0.0000 0.0000 0.2649 x24

# HPtN5Cl4
Calculated powder diffractogram, Cu Kα (weighted mean of Kα1 and Kα2). Input: the PBE geometry in the Materials Project.
Neutral-atom scattering factors, no anomalous dispersion.

The 6 most intense peaks (2θ = 10–90°), low angle first:
- (1 0 1), 2θ = 12.77°, I = 61
- (0 2 1), 2θ = 15.83°, I = 95
- (3 0 0), 2θ = 16.18°, I = 100
- (2 1 1), 2θ = 18.40°, I = 48
- (3 2 1), 2θ = 26.35°, I = 41
- (0 5 1), 2θ = 29.58°, I = 36

Atomic structure:
a = 18.9797 Å, b = 18.9797 Å, c = 7.6463 Å
α = 90.00°, β = 90.00°, γ = 120.00°
Space group R3m (No. 160, hexagonal axes)
Unique sites:
1 H 0.1007 0.2014 0.0000 x9
2 Pt 0.2116 0.4233 0.0715 x9
3 N 0.0053 0.5027 0.1347 x9
4 N 0.0186 0.5093 0.5792 x9
5 N 0.1103 0.3863 0.1558 x18
6 N 0.1954 0.0977 0.1903 x9
7 Cl 0.0505 0.2470 0.9866 x18
8 Cl 0.1015 0.5508 0.1575 x9
9 Cl 0.1243 0.0622 0.5797 x9

# H30Ru2PtN10Cl10
Calculated powder diffractogram, Cu Kα (weighted mean of Kα1 and Kα2). Input: the PBE geometry in the Materials Project.
Neutral-atom scattering factors, no anomalous dispersion.

The 6 most intense peaks (2θ = 10–90°), low angle first:
- (1 1 1), 2θ = 15.07°, I = 100
- (2 0 -1), 2θ = 15.40°, I = 47
- (1 1 -2), 2θ = 17.75°, I = 52
- (0 0 3), 2θ = 20.12°, I = 25
- (0 2 0), 2θ = 21.11°, I = 34
- (3 1 0), 2θ = 24.90°, I = 23

Atomic structure:
a = 11.9966 Å, b = 8.4188 Å, c = 13.4057 Å
α = 90.00°, β = 99.03°, γ = 90.00°
Space group C2/m (No. 12)
Unique sites:
1 H 0.0020 0.0972 0.3361 x8
2 H 0.0374 0.2156 0.8723 x8
3 H 0.0498 0.0000 0.2431 x4
4 H 0.1281 0.1448 0.9669 x8
5 H 0.1682 0.2828 0.8926 x8
6 H 0.1801 0.2021 0.6396 x8
7 H 0.1916 0.3490 0.3101 x8
8 H 0.2412 0.2886 0.7444 x8
9 Ru 0.1749 0.0000 0.7996 x4
10 Pt 0.0000 0.5000 0.5000 x2
11 N 0.0122 0.0000 0.7107 x4
12 N 0.1200 0.1819 0.8926 x8
13 N 0.2308 0.1812 0.7075 x8
14 Cl 0.0000 0.2225 0.5000 x4
15 Cl 0.0012 0.5000 0.3244 x4
16 Cl 0.1484 0.5000 0.1003 x4
17 Cl 0.1695 0.0000 0.1290 x4
18 Cl 0.1985 0.5000 0.5253 x4

# SnH12PtN4Cl6
Calculated powder diffractogram, Cu Kα (weighted mean of Kα1 and Kα2). Input: the PBE geometry in the Materials Project.
Neutral-atom scattering factors, no anomalous dispersion.

The 6 most intense peaks (2θ = 10–90°), low angle first:
- (2 0 0), 2θ = 14.67°, I = 100
- (0 2 0), 2θ = 15.80°, I = 89
- (0 0 2), 2θ = 16.71°, I = 69
- (2 0 2), 2θ = 22.31°, I = 64
- (0 2 2), 2θ = 23.08°, I = 58
- (2 2 2), 2θ = 27.46°, I = 97

Atomic structure:
a = 12.0733 Å, b = 11.2181 Å, c = 10.6099 Å
α = 90.00°, β = 90.00°, γ = 90.00°
Space group Cmce (No. 64)
Unique sites:
1 Sn 0.0000 0.0000 0.0000 x4
2 H 0.1030 0.1902 0.4066 x16
3 H 0.1442 0.0690 0.3311 x16
4 H 0.1940 0.1016 0.4728 x16
5 Pt 0.0000 0.0000 0.5000 x4
6 N 0.1233 0.1021 0.4185 x16
7 Cl 0.0000 0.1820 0.1272 x8
8 Cl 0.1475 0.0883 0.8644 x16

# Rb5Te3H4NCl18
Calculated powder diffractogram, Cu Kα (weighted mean of Kα1 and Kα2). Input: the PBE geometry in the Materials Project.
Neutral-atom scattering factors, no anomalous dispersion.

The 6 most intense peaks (2θ = 10–90°), low angle first:
- (0 1 1), 2θ = 14.63°, I = 81
- (1 1 0), 2θ = 24.00°, I = 85
- (2 0 1), 2θ = 28.22°, I = 44
- (0 2 2), 2θ = 29.50°, I = 51
- (2 0 4), 2θ = 34.20°, I = 100
- (2 2 0), 2θ = 49.14°, I = 66

Atomic structure:
a = 7.4157 Å, b = 7.4157 Å, c = 18.1661 Å
α = 90.00°, β = 90.00°, γ = 120.00°
Space group P3m1 (No. 156)
Unique sites:
1 Rb 0.0000 0.0000 0.0000 x1
2 Rb 0.0000 0.0000 0.5001 x1
3 Rb 0.3333 0.6667 0.3333 x1
4 Rb 0.3333 0.6667 0.8332 x1
5 Rb 0.6667 0.3333 0.1667 x1
6 Te 0.0000 0.0000 0.2500 x1
7 Te 0.3333 0.6667 0.5838 x1
8 Te 0.6667 0.3333 0.9162 x1
9 H 0.5148 0.2574 0.6857 x3
10 H 0.6667 0.3333 0.6097 x1
11 N 0.6667 0.3333 0.6668 x1
12 Cl 0.0073 0.5036 0.5019 x3
13 Cl 0.1631 0.3262 0.1685 x3
14 Cl 0.1698 0.3396 0.6652 x3
15 Cl 0.3261 0.1631 0.3315 x3
16 Cl 0.3399 0.1699 0.8349 x3
17 Cl 0.5038 0.0075 0.9980 x3

# ReH8N2Cl6
Calculated powder diffractogram, Cu Kα (weighted mean of Kα1 and Kα2). Input: the PBE geometry in the Materials Project.
Neutral-atom scattering factors, no anomalous dispersion.

The 6 most intense peaks (2θ = 10–90°), low angle first:
- (1 1 1), 2θ = 15.32°, I = 100
- (2 0 0), 2θ = 17.71°, I = 64
- (3 1 1), 2θ = 29.58°, I = 50
- (4 0 0), 2θ = 35.86°, I = 42
- (4 2 0), 2θ = 40.27°, I = 34
- (4 4 0), 2θ = 51.62°, I = 26

Atomic structure:
a = 10.0167 Å, b = 10.0167 Å, c = 10.0167 Å
α = 90.00°, β = 90.00°, γ = 90.00°
Space group Fm-3m (No. 225)
Unique sites:
1 Re 0.0000 0.0000 0.0000 x4
2 H 0.1903 0.1903 0.3097 x32
3 N 0.2500 0.2500 0.2500 x8
4 Cl 0.0000 0.0000 0.2377 x24

# ReH30Ru2N10Cl10
Calculated powder diffractogram, Cu Kα (weighted mean of Kα1 and Kα2). Input: the PBE geometry in the Materials Project.
Neutral-atom scattering factors, no anomalous dispersion.

The 6 most intense peaks (2θ = 10–90°), low angle first:
- (1 1 1), 2θ = 15.11°, I = 100
- (2 0 -1), 2θ = 15.52°, I = 47
- (1 1 -2), 2θ = 17.64°, I = 54
- (0 0 3), 2θ = 19.78°, I = 29
- (0 2 0), 2θ = 21.20°, I = 35
- (3 1 0), 2θ = 25.18°, I = 22

Atomic structure:
a = 11.8548 Å, b = 8.3804 Å, c = 13.6408 Å
α = 90.00°, β = 99.21°, γ = 90.00°
Space group C2/m (No. 12)
Unique sites:
1 Re 0.0000 0.0000 0.0000 x2
2 H 0.0039 0.4024 0.8319 x8
3 H 0.0340 0.2854 0.3721 x8
4 H 0.0520 0.5000 0.7400 x4
5 H 0.1271 0.3552 0.4650 x8
6 H 0.1666 0.2162 0.3912 x8
7 H 0.1723 0.2807 0.1532 x8
8 H 0.1993 0.1423 0.8173 x8
9 H 0.2431 0.2811 0.7454 x8
10 Ru 0.1746 0.5000 0.3020 x4
11 N 0.0104 0.5000 0.2141 x4
12 N 0.1180 0.3179 0.3923 x8
13 N 0.2312 0.3183 0.2122 x8
14 Cl 0.0000 0.2842 0.0000 x4
15 Cl 0.0035 0.0000 0.1755 x4
16 Cl 0.1457 0.0000 0.5995 x4
17 Cl 0.1717 0.5000 0.6287 x4
18 Cl 0.2014 0.0000 0.0208 x4

# H9RhN3Cl3
Calculated powder diffractogram, Cu Kα (weighted mean of Kα1 and Kα2). Input: the PBE geometry in the Materials Project.
Neutral-atom scattering factors, no anomalous dispersion.

The 6 most intense peaks (2θ = 10–90°), low angle first:
- (0 1 1), 2θ = 15.47°, I = 100
- (1 0 0), 2θ = 15.88°, I = 50
- (1 1 1), 2θ = 22.76°, I = 24
- (1 2 0), 2θ = 24.07°, I = 37
- (1 0 -2), 2θ = 29.23°, I = 27
- (1 3 1), 2θ = 34.47°, I = 35

Atomic structure:
a = 5.5888 Å, b = 9.8704 Å, c = 7.0463 Å
α = 90.00°, β = 93.29°, γ = 90.00°
Space group P2_1/m (No. 11)
Unique sites:
1 H 0.0869 0.1115 0.1554 x4
2 H 0.1478 0.2500 0.4654 x2
3 H 0.2592 0.1005 0.9689 x4
4 H 0.3218 0.0085 0.1614 x4
5 H 0.3856 0.1654 0.5548 x4
6 Rh 0.4940 0.2500 0.2200 x2
7 N 0.2603 0.1018 0.1149 x4
8 N 0.3325 0.2500 0.4788 x2
9 Cl 0.2438 0.5747 0.6568 x4
10 Cl 0.3350 0.7500 0.0850 x2